No. 1
Structure and simulated X-ray diffraction stick pattern of CeBiRh3 (a PBE-relaxed structure; Cu Kα).
Intensities are scaled so that the largest is 100.

Peak list (6 most intense, 2θ = 15–90°, in order of falling intensity)
d = 2.294 Å, 2θ 39.3, rel. 100.0
d = 3.011 Å, 2θ 29.7, rel. 94.6
d = 2.717 Å, 2θ 33.0, rel. 82.3
d = 2.496 Å, 2θ 36.0, rel. 59.5
d = 2.163 Å, 2θ 41.8, rel. 51.9
d = 2.204 Å, 2θ 41.0, rel. 42.6

Structural model:
Cell lengths 4.8405, 5.8542, 7.1086 Å; angles 90.00, 98.95, 90.00 degrees
Space group P2_1/m (No. 11)
Unique sites:
Ce (0.1680, 0.2500, 0.1363) (multiplicity 2)
Bi (0.1331, 0.7500, 0.3850) (multiplicity 2)
Rh (0.3068, 0.7500, 0.0140) (multiplicity 2)
Rh (0.3869, 0.9996, 0.6922) (multiplicity 4)

No. 2
Structure and simulated X-ray diffraction stick pattern of Sm2Ga6Cu3 (a PBE-relaxed structure; Cu Kα).
Intensities are scaled so that the largest is 100.

Peak list (6 most intense, 2θ = 15–90°, in order of falling intensity)
d = 2.611 Å, 2θ 34.3, rel. 100.0
d = 2.583 Å, 2θ 34.7, rel. 76.8
d = 2.467 Å, 2θ 36.4, rel. 54.4
d = 1.681 Å, 2θ 54.6, rel. 34.3
d = 2.914 Å, 2θ 30.7, rel. 33.3
d = 1.842 Å, 2θ 49.5, rel. 32.9

Structural model:
Cell lengths 9.5270, 11.7562, 3.6838 Å; angles 90.00, 90.00, 90.00 degrees
Space group Cmmm (No. 65)
Unique sites:
Sm (0.0000, 0.1987, 0.0000) (multiplicity 4)
Ga (0.1251, 0.0000, 0.5000) (multiplicity 4)
Ga (0.1909, 0.3458, 0.5000) (multiplicity 8)
Cu (0.0000, 0.5000, 0.5000) (multiplicity 2)
Cu (0.1911, 0.5000, 0.0000) (multiplicity 4)

No. 3
Structure and simulated X-ray diffraction stick pattern of Li10CdAu6 (a PBE-relaxed structure; Cu Kα).
Intensities are scaled so that the largest is 100.

Peak list (6 most intense, 2θ = 15–90°, in order of falling intensity)
d = 3.155 Å, 2θ 28.3, rel. 100.0
d = 2.237 Å, 2θ 40.3, rel. 38.5
d = 2.225 Å, 2θ 40.5, rel. 35.7
d = 5.493 Å, 2θ 16.1, rel. 21.3
d = 3.854 Å, 2θ 23.1, rel. 20.4
d = 1.818 Å, 2θ 50.2, rel. 17.4

Structural model:
Cell lengths 7.7080, 7.7080, 5.4927 Å; angles 90.00, 90.00, 120.00 degrees
Space group P-31m (No. 162)
Unique sites:
Li (0.0000, 0.2997, 0.3230) (multiplicity 6)
Li (0.3333, 0.6667, 0.0000) (multiplicity 2)
Li (0.3333, 0.6667, 0.5000) (multiplicity 2)
Cd (0.0000, 0.0000, 0.0000) (multiplicity 1)
Au (0.0000, 0.3635, 0.8089) (multiplicity 6)

No. 4
Structure and simulated X-ray diffraction stick pattern of Ca6Pb2F (a PBE-relaxed structure; Cu Kα).
Intensities are scaled so that the largest is 100.

Peak list (6 most intense, 2θ = 15–90°, in order of falling intensity)
d = 4.707 Å, 2θ 18.9, rel. 100.0
d = 2.589 Å, 2θ 34.6, rel. 99.2
d = 5.363 Å, 2θ 16.5, rel. 65.3
d = 3.891 Å, 2θ 22.9, rel. 60.8
d = 4.913 Å, 2θ 18.1, rel. 51.0
d = 2.528 Å, 2θ 35.5, rel. 50.3

Structural model:
Cell lengths 6.9255, 8.4756, 12.0005 Å; angles 90.00, 125.04, 90.00 degrees
Space group P2_1/c (No. 14)
Unique sites:
Ca (0.1090, 0.1900, 0.4441) (multiplicity 4)
Ca (0.2663, 0.6575, 0.4511) (multiplicity 4)
Ca (0.3604, 0.0215, 0.2688) (multiplicity 4)
Pb (0.2024, 0.1125, 0.7437) (multiplicity 4)
F (0.5000, 0.0000, 0.5000) (multiplicity 2)